Starting from a structure optimized by DFT (GGA-PBE), the X-ray diffraction stick pattern of GaAgAsAuCl was calculated for λ = 1.5418 Å (Cu Kα).
No peak broadening, texture or thermal motion is included.

Peak list (10 most intense, 2θ = 10–90°, by angle)
(0 0 1), 12.4°, intensity 1000; (1 1 0), 21.7°, intensity 362; (2 0 -1), 23.7°, intensity 326; (1 1 -1), 24.2°, intensity 444; (1 1 -2), 31.9°, intensity 342; (1 1 2), 34.6°, intensity 284; (0 2 0), 37.8°, intensity 472; (3 1 -1), 39.0°, intensity 403; (3 1 -2), 43.4°, intensity 273; (1 1 3), 45.6°, intensity 302

Structural model:
```
data_GaAgAsAuCl
_chemical_formula_sum 'Ga2 Ag2 As2 Au2 Cl2'
_space_group_name_H-M_alt 'C 1 m 1'
_space_group_IT_number 8
_space_group_name_Hall 'C -2y'
_cell_length_a 8.101
_cell_length_b 4.765
_cell_length_c 7.239
_cell_angle_alpha 90.00
_cell_angle_beta 99.17
_cell_angle_gamma 90.00
loop_
_atom_site_label
_atom_site_type_symbol
_atom_site_fract_x
_atom_site_fract_y
_atom_site_fract_z
Ga1 Ga 0.000 0.000 0.000
Ag1 Ag 0.143 0.500 0.854
As1 As 0.322 0.000 0.944
Au1 Au 0.179 0.000 0.621
Cl1 Cl 0.482 0.500 0.335
```